No. 1
Theoretical powder diffractogram
Compound: TmMo6S8
Radiation: Cu Kα
Structure: a cell relaxed with GGA-PBE

Structural model:
```
TmMo6S8
1.0
4.5714 2.6393 3.7679
-4.5714 2.6393 3.7679
0.0000 -5.2786 3.7679
Tm Mo S
1 6 8
Direct
0.0000 0.0000 0.0000
0.2223 0.5594 0.4198
0.4198 0.2223 0.5594
0.4406 0.5802 0.7777
0.5594 0.4198 0.2223
0.5802 0.7777 0.4406
0.7777 0.4406 0.5802
0.1281 0.3663 0.7531
0.2360 0.2360 0.2360
0.2469 0.8719 0.6337
0.3663 0.7531 0.1281
0.6337 0.2469 0.8719
0.7531 0.1281 0.3663
0.7640 0.7640 0.7640
0.8719 0.6337 0.2469
```

The 6 most intense peaks (2θ from 5° to 70°), sorted by position:
Position (°2θ)	I_rel
19.29	81
30.91	87
33.90	83
41.91	100
44.07	74
46.47	93

=====

No. 2
Theoretical powder diffractogram
Compound: VMo2S4
Radiation: Cu Kα
Structure: a cell relaxed with GGA-PBE

Structural model:
```
VMo2S4
1.0
6.0506 -3.2474 0.0000
6.0506 3.2474 0.0000
-5.3557 0.0000 11.6433
V Mo S
4 8 16
Direct
0.1218 0.3698 0.2493
0.3698 0.1218 0.7493
0.6302 0.8782 0.2507
0.8782 0.6302 0.7507
0.0551 0.7685 0.0086
0.2315 0.9449 0.4914
0.2968 0.5080 0.5075
0.4920 0.7032 0.9925
0.5080 0.2968 0.0075
0.7032 0.4920 0.4925
0.7685 0.0551 0.5086
0.9449 0.2315 0.9914
0.1041 0.8497 0.8596
0.1052 0.3652 0.8856
0.1358 0.3758 0.6087
0.1503 0.8959 0.6404
0.3409 0.5830 0.3508
0.3652 0.1052 0.3856
0.3758 0.1358 0.1087
0.4170 0.6591 0.1492
0.5830 0.3409 0.8508
0.6242 0.8642 0.8913
0.6348 0.8948 0.6144
0.6591 0.4170 0.6492
0.8497 0.1041 0.3596
0.8642 0.6242 0.3913
0.8948 0.6348 0.1144
0.8959 0.1503 0.1404
```

The 6 most intense peaks (2θ from 5° to 70°), sorted by position:
Position (°2θ)	I_rel
15.22	100
16.94	41
31.27	46
34.55	75
43.74	48
45.06	60